# LiThCo
Computed powder diffractogram, Cu Kα. Input: a structure optimized by DFT (GGA-PBE).

Principal peaks in the range 2θ from 5° to 70°, most intense first:
two_theta, I (rel.)
24.79, 100
34.69, 99
18.68, 88
26.10, 77
37.83, 76
21.24, 57
37.38, 56
34.37, 44
31.35, 43
37.49, 42

Atomic structure:
Cell: 7.1317 3.7477 12.5512 Å, 90.00 90.98 90.00°
Element x y z (fractional)
Li1 0.0168 0.2500 0.0791
Li2 0.1314 0.7500 0.5328
Li3 0.3690 0.2500 0.1932
Li4 0.6310 0.7500 0.8068
Li5 0.8686 0.2500 0.4672
Li6 0.9832 0.7500 0.9209
Th1 0.0487 0.7500 0.2882
Th2 0.3328 0.2500 0.9203
Th3 0.4583 0.2500 0.6292
Th4 0.5417 0.7500 0.3708
Th5 0.6672 0.7500 0.0797
Th6 0.9513 0.2500 0.7118
Co1 0.2345 0.7500 0.7474
Co2 0.2706 0.2500 0.4029
Co3 0.2752 0.7500 0.0680
Co4 0.7248 0.2500 0.9320
Co5 0.7294 0.7500 0.5971
Co6 0.7655 0.2500 0.2526

=====

# Li2ThCo9
Computed powder diffractogram, Cu Kα. Input: a structure optimized by DFT (GGA-PBE).

Principal peaks in the range 2θ from 5° to 70°, most intense first:
two_theta, I (rel.)
39.99, 100
24.32, 71
44.14, 50
36.64, 50
15.48, 49
46.24, 36
45.61, 31
28.96, 29
50.42, 28
35.05, 23

Atomic structure:
Cell: 8.0950 8.0950 4.7602 Å, 90.00 90.00 90.00°
Element x y z (fractional)
Li1 0.1128 0.3872 0.0000
Li2 0.3872 0.8872 0.0000
Li3 0.6128 0.1128 0.0000
Li4 0.8872 0.6128 0.0000
Th1 0.0000 0.0000 0.0000
Th2 0.5000 0.5000 0.0000
Co1 0.0000 0.5000 0.5000
Co2 0.0672 0.2142 0.5000
Co3 0.1801 0.6801 0.2386
Co4 0.1801 0.6801 0.7614
Co5 0.2142 0.9328 0.5000
Co6 0.2858 0.4328 0.5000
Co7 0.3199 0.1801 0.2386
Co8 0.3199 0.1801 0.7614
Co9 0.4328 0.7142 0.5000
Co10 0.5000 0.0000 0.5000
Co11 0.5672 0.2858 0.5000
Co12 0.6801 0.8199 0.2386
Co13 0.6801 0.8199 0.7614
Co14 0.7142 0.5672 0.5000
Co15 0.7858 0.0672 0.5000
Co16 0.8199 0.3199 0.2386
Co17 0.8199 0.3199 0.7614
Co18 0.9328 0.7858 0.5000

=====

# LiTm3Co
Computed powder diffractogram, Cu Kα. Input: a structure optimized by DFT (GGA-PBE).

Principal peaks in the range 2θ from 5° to 70°, most intense first:
two_theta, I (rel.)
32.99, 100
28.56, 90
30.11, 82
39.41, 67
14.69, 54
59.62, 50
41.68, 49
35.67, 45
33.76, 38
58.70, 36

Atomic structure:
Cell: 6.7702 4.5726 8.2855 Å, 90.00 109.66 90.00°
Element x y z (fractional)
Li1 0.2324 0.2500 0.3342
Li2 0.7676 0.7500 0.6658
Tm1 0.1596 0.2500 0.9014
Tm2 0.1999 0.7500 0.5880
Tm3 0.4308 0.7500 0.2212
Tm4 0.5692 0.2500 0.7788
Tm5 0.8001 0.2500 0.4120
Tm6 0.8404 0.7500 0.0986
Co1 0.4280 0.7500 0.9000
Co2 0.5720 0.2500 0.1000

=====

# LiYZnCo
Computed powder diffractogram, Cu Kα. Input: a structure optimized by DFT (GGA-PBE).

Principal peaks in the range 2θ from 5° to 70°, most intense first:
two_theta, I (rel.)
39.78, 100
27.84, 23
24.05, 18
57.52, 16
47.03, 8
65.09, 8
49.25, 6
63.25, 3

Atomic structure:
Cell: 4.5316 4.5316 4.5316 Å, 60.00 60.00 60.00°
Element x y z (fractional)
Li1 0.0000 0.0000 0.0000
Y1 0.7500 0.7500 0.7500
Zn1 0.2500 0.2500 0.2500
Co1 0.5000 0.5000 0.5000